1.
This entry pairs a crystal structure of HfB4Os with its theoretical powder XRD pattern. Radiation: a wavelength of 1.5418 Å. Structure: the PBE geometry in OQMD.

Crystal structure
Cell: 5.844 11.355 3.460 Å, 90.00 90.00 90.00°
Atoms (fractional coordinates):
Hf: 0.130 0.149 0.000
Hf: 0.370 0.649 0.000
Hf: 0.630 0.351 0.000
Hf: 0.870 0.851 0.000
B: 0.027 0.694 0.500
B: 0.116 0.548 0.500
B: 0.131 0.970 0.500
B: 0.202 0.812 0.500
B: 0.298 0.312 0.500
B: 0.369 0.470 0.500
B: 0.384 0.048 0.500
B: 0.473 0.194 0.500
B: 0.527 0.806 0.500
B: 0.616 0.952 0.500
B: 0.631 0.530 0.500
B: 0.702 0.688 0.500
B: 0.798 0.188 0.500
B: 0.869 0.030 0.500
B: 0.884 0.452 0.500
B: 0.973 0.306 0.500
Os: 0.143 0.402 0.000
Os: 0.357 0.902 0.000
Os: 0.643 0.098 0.000
Os: 0.857 0.598 0.000

Top 10 peaks for 15 to 90 degrees two-theta, low angle first:
two_theta  I/Imax
25.75  82
31.52  36
31.62  51
35.14  18
38.94  27
41.18  100
44.08  22
47.27  36
52.92  19
62.97  15


2.
This entry pairs a crystal structure of Ba2CdOsN6 with its theoretical powder XRD pattern. Radiation: a wavelength of 1.5418 Å. Structure: the PBE geometry in OQMD.

Crystal structure
Cell: 5.955 5.955 5.955 Å, 60.08 60.08 60.08°
Atoms (fractional coordinates):
Ba: 0.250 0.250 0.250
Ba: 0.750 0.750 0.750
Cd: 0.000 0.000 0.000
Os: 0.500 0.500 0.500
N: 0.269 0.730 0.271
N: 0.270 0.729 0.731
N: 0.271 0.269 0.730
N: 0.729 0.731 0.270
N: 0.730 0.271 0.269
N: 0.731 0.270 0.729

Top 10 peaks for 15 to 90 degrees two-theta, low angle first:
two_theta  I/Imax
18.23  5
29.99  100
35.33  2
42.93  26
53.25  40
62.33  16
70.71  18
78.63  4
86.38  16
86.51  5